This entry pairs a crystal structure of AcTb12Sm7 with its theoretical XRD peak list. Radiation: Cu Kα X-rays. Structure: a DFT-relaxed cell (PBE, Alexandria).
Kinematic intensities with the Lorentz-polarization factor, no thermal factor.

Crystal structure
```
data_AcTb12Sm7
_cell_length_a 12.1313
_cell_length_b 12.1313
_cell_length_c 16.0999
_cell_angle_alpha 90.00
_cell_angle_beta 90.00
_cell_angle_gamma 120.00
_space_group_name_H-M_alt 'R -3'
_space_group_IT_number 148
_space_group_name_Hall '-R 3'
loop_
_atom_site_label
_atom_site_fract_x
_atom_site_fract_y
_atom_site_fract_z
_atom_site_occupancy
Ac1 0.0000 0.0000 0.0000 1
Tb1 0.0104 0.5696 0.7202 1
Tb2 0.0488 0.4596 0.0830 1
Sm1 0.0000 0.0000 0.5000 1
Sm2 0.0503 0.8605 0.7938 1
```

Largest 10 diffraction maxima, by intensity, 2θ from 10° to 80°:
2θ/deg, Rel. int.
31.19, 100
32.67, 76
31.65, 46
29.00, 29
30.48, 28
54.55, 23
36.62, 18
27.93, 17
41.81, 13
52.50, 13

This entry pairs a crystal structure of CaPrGaSn with its theoretical XRD peak list. Radiation: Cu Kα X-rays. Structure: a DFT-relaxed cell (PBE, Alexandria).
Kinematic intensities with the Lorentz-polarization factor, no thermal factor.

Crystal structure
```
data_CaPrGaSn
_cell_length_a 4.3083
_cell_length_b 4.6714
_cell_length_c 11.4373
_cell_angle_alpha 90.00
_cell_angle_beta 90.00
_cell_angle_gamma 90.00
_space_group_name_H-M_alt 'A m m 2'
_space_group_IT_number 38
loop_
_space_group_symop_operation_xyz
'x,y,z'
'-x,-y,z'
'-x,y,z'
'x,-y,z'
'x,y+1/2,z+1/2'
'-x,-y+1/2,z+1/2'
'-x,y+1/2,z+1/2'
'x,-y+1/2,z+1/2'
loop_
_atom_site_label
_atom_site_fract_x
_atom_site_fract_y
_atom_site_fract_z
_atom_site_occupancy
Ca1 0.0000 0.0000 0.0000 1
Pr1 0.5000 0.0000 0.2745 1
Ga1 0.0000 0.0000 0.7210 1
Sn1 0.5000 0.0000 0.5644 1
```

Largest 10 diffraction maxima, by intensity, 2θ from 10° to 80°:
2θ/deg, Rel. int.
29.26, 100
36.90, 96
20.58, 47
30.26, 36
38.54, 32
37.76, 30
31.28, 26
41.94, 25
52.55, 23
15.50, 23

This entry pairs a crystal structure of CrFe14Tc with its theoretical XRD peak list. Radiation: Cu Kα X-rays. Structure: a DFT-relaxed cell (PBE, Alexandria).
Kinematic intensities with the Lorentz-polarization factor, no thermal factor.

Crystal structure
```
data_CrFe14Tc
_cell_length_a 5.7415
_cell_length_b 8.1060
_cell_length_c 8.0799
_cell_angle_alpha 90.00
_cell_angle_beta 90.00
_cell_angle_gamma 90.00
_space_group_name_H-M_alt 'C m m m'
_space_group_IT_number 65
_space_group_name_Hall '-C 2 2'
loop_
_atom_site_label
_atom_site_fract_x
_atom_site_fract_y
_atom_site_fract_z
_atom_site_occupancy
Cr1 0.0000 0.0000 0.0000 1
Fe1 0.0000 0.0000 0.5000 1
Fe2 0.0000 0.2503 0.2510 1
Fe3 0.0000 0.5000 0.5000 1
Fe4 0.2472 0.0000 0.2528 1
Fe5 0.2500 0.2500 0.0000 1
Fe6 0.2500 0.2500 0.5000 1
Tc1 0.0000 0.5000 0.0000 1
```

Largest 8 diffraction maxima, by intensity, 2θ from 10° to 80°:
2θ/deg, Rel. int.
44.72, 100
44.87, 20
65.21, 12
64.97, 6
21.94, 2
18.94, 1
29.19, 1
10.95, 1

This entry pairs a crystal structure of CdCoH with its theoretical XRD peak list. Radiation: Cu Kα X-rays. Structure: a DFT-relaxed cell (PBE, Alexandria).
Kinematic intensities with the Lorentz-polarization factor, no thermal factor.

Crystal structure
```
data_CdCoH
_cell_length_a 8.9346
_cell_length_b 8.9346
_cell_length_c 6.9705
_cell_angle_alpha 90.00
_cell_angle_beta 90.00
_cell_angle_gamma 90.00
_space_group_name_H-M_alt 'I 41/a'
_space_group_IT_number 88
loop_
_space_group_symop_operation_xyz
'x,y,z'
'-x,-y,-z'
'-y+3/4,x+1/4,z+1/4'
'y+3/4,-x+1/4,-z+1/4'
'-x+1/2,-y,z+1/2'
'x+1/2,y,-z+1/2'
'y+3/4,-x+3/4,z+3/4'
'-y+3/4,x+3/4,-z+3/4'
'x+1/2,y+1/2,z+1/2'
'-x+1/2,-y+1/2,-z+1/2'
'-y+1/4,x+3/4,z+3/4'
'y+1/4,-x+3/4,-z+3/4'
'-x,-y+1/2,z'
'x,y+1/2,-z'
'y+1/4,-x+1/4,z+1/4'
'-y+1/4,x+1/4,-z+1/4'
loop_
_atom_site_label
_atom_site_fract_x
_atom_site_fract_y
_atom_site_fract_z
_atom_site_occupancy
Cd1 0.1107 0.3886 0.4879 1
Co1 0.0992 0.0366 0.1307 1
H1 0.0502 0.3876 0.0082 1
```

Largest 10 diffraction maxima, by intensity, 2θ from 10° to 80°:
2θ/deg, Rel. int.
38.51, 100
40.38, 23
40.10, 20
43.75, 18
41.13, 15
25.70, 14
72.16, 13
16.13, 11
68.58, 11
45.14, 9

This entry pairs a crystal structure of Sr2Li3Zn4 with its theoretical XRD peak list. Radiation: Cu Kα X-rays. Structure: a DFT-relaxed cell (PBE, Alexandria).
Kinematic intensities with the Lorentz-polarization factor, no thermal factor.

Crystal structure
```
data_Sr2Li3Zn4
_cell_length_a 5.2729
_cell_length_b 10.6351
_cell_length_c 14.5691
_cell_angle_alpha 90.00
_cell_angle_beta 90.00
_cell_angle_gamma 90.00
_space_group_name_H-M_alt 'F m m m'
_space_group_IT_number 69
_space_group_name_Hall '-F 2 2'
loop_
_atom_site_label
_atom_site_fract_x
_atom_site_fract_y
_atom_site_fract_z
_atom_site_occupancy
Sr1 0.0000 0.0000 0.1513 1
Li1 0.0000 0.0000 0.5000 1
Li2 0.2500 0.2500 0.0000 1
Zn1 0.0000 0.1946 0.3369 1
```

Largest 10 diffraction maxima, by intensity, 2θ from 10° to 80°:
2θ/deg, Rel. int.
35.68, 100
12.15, 55
31.01, 42
34.00, 34
24.44, 31
37.02, 25
61.95, 19
51.14, 18
42.32, 17
53.97, 17

This entry pairs a crystal structure of Hf2Ti8Bi3 with its theoretical XRD peak list. Radiation: Cu Kα X-rays. Structure: a DFT-relaxed cell (PBE, Alexandria).
Kinematic intensities with the Lorentz-polarization factor, no thermal factor.

Crystal structure
```
data_Hf2Ti8Bi3
_cell_length_a 8.9407
_cell_length_b 13.3031
_cell_length_c 4.8969
_cell_angle_alpha 90.00
_cell_angle_beta 90.00
_cell_angle_gamma 90.00
_space_group_name_H-M_alt 'C m m m'
_space_group_IT_number 65
_space_group_name_Hall '-C 2 2'
loop_
_atom_site_label
_atom_site_fract_x
_atom_site_fract_y
_atom_site_fract_z
_atom_site_occupancy
Hf1 0.0000 0.2241 0.0000 1
Ti1 0.0000 0.1071 0.5000 1
Ti2 0.0000 0.3196 0.5000 1
Ti3 0.2277 0.3626 0.0000 1
Bi1 0.0000 0.0000 0.0000 1
Bi2 0.1975 0.5000 0.5000 1
```

Largest 10 diffraction maxima, by intensity, 2θ from 10° to 80°:
2θ/deg, Rel. int.
38.42, 100
22.55, 46
39.86, 46
36.70, 44
21.74, 42
30.74, 37
23.98, 31
27.01, 27
48.61, 21
65.75, 21

This entry pairs a crystal structure of Li3Mg7Al with its theoretical XRD peak list. Radiation: Cu Kα X-rays. Structure: a DFT-relaxed cell (PBE, Alexandria).
Kinematic intensities with the Lorentz-polarization factor, no thermal factor.

Crystal structure
```
data_Li3Mg7Al
_cell_length_a 6.1549
_cell_length_b 6.1549
_cell_length_c 7.5224
_cell_angle_alpha 90.00
_cell_angle_beta 90.00
_cell_angle_gamma 120.00
_space_group_name_H-M_alt 'P 3 m 1'
_space_group_IT_number 156
loop_
_space_group_symop_operation_xyz
'x,y,z'
'-y,x-y,z'
'-x+y,-x,z'
'-y,-x,z'
'-x+y,y,z'
'x,x-y,z'
loop_
_atom_site_label
_atom_site_fract_x
_atom_site_fract_y
_atom_site_fract_z
_atom_site_occupancy
Li1 0.1737 0.3474 0.0000 1
Mg1 0.0000 0.0000 0.6775 1
Mg2 0.0033 0.5016 0.6614 1
Mg3 0.3337 0.1668 0.3154 1
Al1 0.3333 0.6667 0.3206 1
```

Largest 10 diffraction maxima, by intensity, 2θ from 10° to 80°:
2θ/deg, Rel. int.
35.76, 100
41.53, 47
11.76, 45
60.19, 31
71.99, 24
23.66, 15
33.63, 12
49.94, 8
72.09, 7
75.72, 7

This entry pairs a crystal structure of Th6ScTl10 with its theoretical XRD peak list. Radiation: Cu Kα X-rays. Structure: a DFT-relaxed cell (PBE, Alexandria).
Kinematic intensities with the Lorentz-polarization factor, no thermal factor.

Crystal structure
```
data_Th6ScTl10
_cell_length_a 9.4479
_cell_length_b 9.4479
_cell_length_c 6.4929
_cell_angle_alpha 90.00
_cell_angle_beta 90.00
_cell_angle_gamma 120.00
_space_group_name_H-M_alt 'P -3 1 m'
_space_group_IT_number 162
_space_group_name_Hall '-P 3 2'
loop_
_atom_site_label
_atom_site_fract_x
_atom_site_fract_y
_atom_site_fract_z
_atom_site_occupancy
Th1 0.0000 0.3888 0.2671 1
Sc1 0.0000 0.0000 0.5000 1
Tl1 0.0000 0.2543 0.7903 1
Tl2 0.3333 0.6667 0.0000 1
Tl3 0.3333 0.6667 0.5000 1
```

Largest 10 diffraction maxima, by intensity, 2θ from 10° to 80°:
2θ/deg, Rel. int.
32.06, 100
33.49, 97
32.84, 68
47.60, 24
28.87, 23
42.18, 22
51.54, 19
59.01, 18
27.47, 17
67.09, 16

This entry pairs a crystal structure of Pm3IrCl3 with its theoretical XRD peak list. Radiation: Cu Kα X-rays. Structure: a DFT-relaxed cell (PBE, Alexandria).
Kinematic intensities with the Lorentz-polarization factor, no thermal factor.

Crystal structure
```
data_Pm3IrCl3
_cell_length_a 11.7648
_cell_length_b 11.7648
_cell_length_c 11.7648
_cell_angle_alpha 90.00
_cell_angle_beta 90.00
_cell_angle_gamma 90.00
_space_group_name_H-M_alt 'I 41 3 2'
_space_group_IT_number 214
_space_group_name_Hall 'I 4bd 2c 3'
loop_
_atom_site_label
_atom_site_fract_x
_atom_site_fract_y
_atom_site_fract_z
_atom_site_occupancy
Pm1 0.1129 0.3629 0.1250 1
Ir1 0.1250 0.1250 0.1250 1
Cl1 0.1251 0.1249 0.6250 1
```

Largest 10 diffraction maxima, by intensity, 2θ from 10° to 80°:
2θ/deg, Rel. int.
10.63, 100
30.39, 81
43.52, 58
39.04, 24
71.76, 23
54.00, 19
23.92, 18
79.89, 17
32.28, 16
50.26, 13

This entry pairs a crystal structure of Ta7Mo with its theoretical XRD peak list. Radiation: Cu Kα X-rays. Structure: a DFT-relaxed cell (PBE, Alexandria).
Kinematic intensities with the Lorentz-polarization factor, no thermal factor.

Crystal structure
```
data_Ta7Mo
_cell_length_a 3.2797
_cell_length_b 4.6748
_cell_length_c 18.6793
_cell_angle_alpha 90.00
_cell_angle_beta 90.00
_cell_angle_gamma 90.00
_space_group_name_H-M_alt 'I m m m'
_space_group_IT_number 71
_space_group_name_Hall '-I 2 2'
loop_
_atom_site_label
_atom_site_fract_x
_atom_site_fract_y
_atom_site_fract_z
_atom_site_occupancy
Ta1 0.0000 0.0000 0.0000 1
Ta2 0.0000 0.0000 0.2515 1
Ta3 0.0000 0.5000 0.1205 1
Ta4 0.0000 0.5000 0.3741 1
Mo1 0.0000 0.0000 0.5000 1
```

Largest 10 diffraction maxima, by intensity, 2θ from 10° to 80°:
2θ/deg, Rel. int.
38.68, 100
38.54, 50
69.82, 35
70.11, 18
55.64, 17
56.08, 9
38.86, 1
34.77, 1
30.81, 1
19.58, 1

This entry pairs a crystal structure of In5SnBi2Pb with its theoretical XRD peak list. Radiation: Cu Kα X-rays. Structure: a DFT-relaxed cell (PBE, Alexandria).
Kinematic intensities with the Lorentz-polarization factor, no thermal factor.

Crystal structure
```
data_In5SnBi2Pb
_cell_length_a 4.3883
_cell_length_b 18.0105
_cell_length_c 13.8957
_cell_angle_alpha 90.00
_cell_angle_beta 90.00
_cell_angle_gamma 90.00
_space_group_name_H-M_alt 'C m c 21'
_space_group_IT_number 36
loop_
_space_group_symop_operation_xyz
'x,y,z'
'-x,-y,z+1/2'
'-x,y,z'
'x,-y,z+1/2'
'x+1/2,y+1/2,z'
'-x+1/2,-y+1/2,z+1/2'
'-x+1/2,y+1/2,z'
'x+1/2,-y+1/2,z+1/2'
loop_
_atom_site_label
_atom_site_fract_x
_atom_site_fract_y
_atom_site_fract_z
_atom_site_occupancy
In1 0.0000 0.0086 0.0000 1
In2 0.0000 0.2127 0.7399 1
In3 0.0000 0.3938 0.6278 1
In4 0.0000 0.3995 0.3852 1
In5 0.0000 0.4064 0.1047 1
Sn1 0.0000 0.2329 0.4036 1
Bi1 0.0000 0.0216 0.7473 1
Bi2 0.0000 0.2374 0.0621 1
Pb1 0.0000 0.4003 0.8650 1
```

Largest 10 diffraction maxima, by intensity, 2θ from 10° to 80°:
2θ/deg, Rel. int.
32.15, 100
33.27, 94
28.45, 50
32.55, 45
41.14, 43
37.70, 28
39.68, 28
53.41, 22
31.80, 19
52.76, 18

This entry pairs a crystal structure of Nd3Si5 with its theoretical XRD peak list. Radiation: Cu Kα X-rays. Structure: a DFT-relaxed cell (PBE, Alexandria).
Kinematic intensities with the Lorentz-polarization factor, no thermal factor.

Crystal structure
```
data_Nd3Si5
_cell_length_a 5.8295
_cell_length_b 17.4758
_cell_length_c 13.8972
_cell_angle_alpha 90.00
_cell_angle_beta 90.00
_cell_angle_gamma 90.00
_space_group_name_H-M_alt 'F d d 2'
_space_group_IT_number 43
_space_group_name_Hall 'F 2 -2d'
loop_
_atom_site_label
_atom_site_fract_x
_atom_site_fract_y
_atom_site_fract_z
_atom_site_occupancy
Nd1 0.0000 0.0000 0.0000 1
Nd2 0.0067 0.1687 0.4965 1
Si1 0.0000 0.0000 0.5690 1
Si2 0.0081 0.3300 0.5854 1
Si3 0.0189 0.1641 0.9136 1
```

Largest 10 diffraction maxima, by intensity, 2θ from 10° to 80°:
2θ/deg, Rel. int.
33.35, 100
29.00, 53
22.51, 49
39.09, 39
43.95, 30
25.64, 25
60.26, 21
74.02, 19
53.52, 19
51.07, 18